Simulated powder XRD pattern of MnSnHgCl4 for Cu Kα X-rays, from a PBE-relaxed structure.
Peak positions follow from Bragg's law for the DFT cell and can differ from measured ones.

Top 6 peaks for 5 to 70 degrees two-theta, sorted by position:
11.09 deg, intensity 56
19.18 deg, intensity 100
23.32 deg, intensity 47
26.84 deg, intensity 41
29.29 deg, intensity 64
34.55 deg, intensity 39

```
data_MnSnHgCl4
_chemical_formula_sum 'Mn4 Sn4 Hg4 Cl16'
_symmetry_space_group_name_H-M 'C 1 2/m 1'
_symmetry_Int_Tables_number 12
_symmetry_space_group_name_Hall '-C 2y'
_cell_length_a 13.3623
_cell_length_b 9.2548
_cell_length_c 8.4928
_cell_angle_alpha 90.00
_cell_angle_beta 109.98
_cell_angle_gamma 90.00
loop_
_atom_site_label
_atom_site_fract_x
_atom_site_fract_y
_atom_site_fract_z
Mn1 0.1507 0.0000 0.3012
Sn1 0.2320 0.0000 0.9100
Hg1 0.0307 0.5000 0.8066
Cl1 0.0287 0.0000 0.7146
Cl2 0.1794 0.1875 0.1258
Cl3 0.2321 0.5000 0.4290
```